# 1
# Pm6RuAu
Computed powder XRD pattern, a wavelength of 1.5418 Å. Input: the GGA-PBE geometry in Alexandria.
Neutral-atom scattering factors, no anomalous dispersion.

Principal peaks in the range 2θ from 5° to 70°, in order of rising 2θ:
2θ = 17.44°, 5.084 Å, intensity 24, hkl 1 1 -1
2θ = 23.06°, 3.857 Å, intensity 21, hkl 1 1 1
2θ = 26.50°, 3.363 Å, intensity 19, hkl 2 0 0
2θ = 27.05°, 3.297 Å, intensity 19, hkl 0 0 2
2θ = 28.43°, 3.139 Å, intensity 33, hkl 1 3 -1
2θ = 31.42°, 2.847 Å, intensity 66, hkl 2 0 -2
2θ = 32.28°, 2.773 Å, intensity 100, hkl 1 3 1
2θ = 44.14°, 2.052 Å, intensity 20, hkl 2 0 2
2θ = 45.31°, 2.001 Å, intensity 42, hkl 3 3 -1
2θ = 46.01°, 1.973 Å, intensity 37, hkl 1 3 -3

Cell and atoms:
```
data_Pm6RuAu
_chemical_formula_sum 'Pm12 Ru2 Au2'
_cell_length_a 7.090
_cell_length_b 11.288
_cell_length_c 6.951
_cell_angle_alpha 90.00
_cell_angle_beta 108.44
_cell_angle_gamma 90.00
_symmetry_space_group_name_H-M 'C 1 2/m 1'
_symmetry_Int_Tables_number 12
loop_
_symmetry_equiv_pos_as_xyz
'x,y,z'
'-x,-y,-z'
'-x,y,-z'
'x,-y,z'
'x+1/2,y+1/2,z'
'-x+1/2,-y+1/2,-z'
'-x+1/2,y+1/2,-z'
'x+1/2,-y+1/2,z'
loop_
_atom_site_label
_atom_site_fract_x
_atom_site_fract_y
_atom_site_fract_z
Pm1 0.222 0.178 0.240
Pm2 0.247 0.500 0.230
Ru1 0.000 0.000 0.000
Au1 0.000 0.500 0.500
```



# 2
# Dy2Ho12Tm
Computed powder XRD pattern, a wavelength of 1.5418 Å. Input: the GGA-PBE geometry in Alexandria.
Neutral-atom scattering factors, no anomalous dispersion.

Principal peaks in the range 2θ from 5° to 70°, in order of rising 2θ:
2θ = 30.25°, 2.954 Å, intensity 89, hkl 0 1 7
2θ = 30.38°, 2.942 Å, intensity 100, hkl 1 1 -1
2θ = 32.90°, 2.723 Å, intensity 40, hkl 1 1 -4
2θ = 33.38°, 2.684 Å, intensity 30, hkl 0 1 8
2θ = 33.72°, 2.658 Å, intensity 69, hkl 0 2 0
2θ = 34.49°, 2.600 Å, intensity 60, hkl 1 0 6
2θ = 37.14°, 2.421 Å, intensity 36, hkl 1 0 -8
2θ = 51.03°, 1.790 Å, intensity 29, hkl 1 2 -8
2θ = 58.22°, 1.585 Å, intensity 32, hkl 0 3 7
2θ = 62.65°, 1.483 Å, intensity 26, hkl 1 1 14

Cell and atoms:
```
data_Dy2Ho12Tm
_chemical_formula_sum 'Dy2 Ho12 Tm1'
_cell_length_a 3.542
_cell_length_b 5.316
_cell_length_c 24.939
_cell_angle_alpha 90.00
_cell_angle_beta 94.02
_cell_angle_gamma 90.00
_symmetry_space_group_name_H-M 'P 1 2/m 1'
_symmetry_Int_Tables_number 10
loop_
_symmetry_equiv_pos_as_xyz
'x,y,z'
'-x,-y,-z'
'-x,y,-z'
'x,-y,z'
loop_
_atom_site_label
_atom_site_fract_x
_atom_site_fract_y
_atom_site_fract_z
Dy1 0.143 0.000 0.281
Ho1 0.071 0.000 0.137
Ho2 0.225 0.500 0.447
Ho3 0.285 0.000 0.573
Ho4 0.329 0.500 0.665
Ho5 0.395 0.500 0.795
Ho6 0.464 0.500 0.931
Tm1 0.000 0.000 0.000
```



# 3
# K2TbBr5
Computed powder XRD pattern, a wavelength of 1.5418 Å. Input: the GGA-PBE geometry in Alexandria.
Neutral-atom scattering factors, no anomalous dispersion.

Principal peaks in the range 2θ from 5° to 70°, in order of rising 2θ:
2θ = 12.22°, 7.243 Å, intensity 100, hkl 1 0 1
2θ = 13.04°, 6.791 Å, intensity 62, hkl 2 0 0
2θ = 28.27°, 3.156 Å, intensity 62, hkl 4 0 1
2θ = 28.68°, 3.113 Å, intensity 35, hkl 3 0 2
2θ = 29.40°, 3.038 Å, intensity 75, hkl 1 2 2
2θ = 31.58°, 2.833 Å, intensity 48, hkl 2 2 2
2θ = 32.91°, 2.722 Å, intensity 56, hkl 4 2 0
2θ = 35.52°, 2.528 Å, intensity 50, hkl 2 1 3
2θ = 39.63°, 2.274 Å, intensity 40, hkl 0 4 0
2θ = 40.07°, 2.250 Å, intensity 34, hkl 5 2 1

Cell and atoms:
```
data_K2TbBr5
_chemical_formula_sum 'K8 Tb4 Br20'
_cell_length_a 13.582
_cell_length_b 9.097
_cell_length_c 8.562
_cell_angle_alpha 90.00
_cell_angle_beta 90.00
_cell_angle_gamma 90.00
_symmetry_space_group_name_H-M 'P n m a'
_symmetry_Int_Tables_number 62
loop_
_symmetry_equiv_pos_as_xyz
'x,y,z'
'-x,-y,-z'
'-x+1/2,-y,z+1/2'
'x+1/2,y,-z+1/2'
'x+1/2,-y+1/2,-z+1/2'
'-x+1/2,y+1/2,z+1/2'
'-x,y+1/2,-z'
'x,-y+1/2,z'
loop_
_atom_site_label
_atom_site_fract_x
_atom_site_fract_y
_atom_site_fract_z
K1 0.172 0.005 0.063
Tb1 0.005 0.250 0.576
Br1 0.011 0.250 0.916
Br2 0.070 0.545 0.666
Br3 0.180 0.250 0.388
Br4 0.200 0.750 0.348
```



# 4
# K2InAg
Computed powder XRD pattern, a wavelength of 1.5418 Å. Input: the GGA-PBE geometry in Alexandria.
Neutral-atom scattering factors, no anomalous dispersion.

Principal peaks in the range 2θ from 5° to 70°, in order of rising 2θ:
2θ = 11.40°, 7.765 Å, intensity 100, hkl 0 0 1
2θ = 22.91°, 3.882 Å, intensity 11, hkl 0 0 2
2θ = 25.67°, 3.470 Å, intensity 21, hkl 1 1 1
2θ = 25.91°, 3.439 Å, intensity 11, hkl 2 0 -2
2θ = 28.04°, 3.183 Å, intensity 11, hkl 2 0 1
2θ = 28.34°, 3.149 Å, intensity 22, hkl 1 1 -2
2θ = 34.66°, 2.588 Å, intensity 12, hkl 0 0 3
2θ = 36.18°, 2.483 Å, intensity 41, hkl 0 2 0
2θ = 37.90°, 2.374 Å, intensity 12, hkl 3 1 0
2θ = 38.12°, 2.361 Å, intensity 22, hkl 0 2 1

Cell and atoms:
```
data_K2InAg
_chemical_formula_sum 'K4 In2 Ag2'
_cell_length_a 8.608
_cell_length_b 4.962
_cell_length_c 8.242
_cell_angle_alpha 90.00
_cell_angle_beta 109.60
_cell_angle_gamma 90.00
_symmetry_space_group_name_H-M 'C 1 m 1'
_symmetry_Int_Tables_number 8
loop_
_symmetry_equiv_pos_as_xyz
'x,y,z'
'x,-y,z'
'x+1/2,y+1/2,z'
'x+1/2,-y+1/2,z'
loop_
_atom_site_label
_atom_site_fract_x
_atom_site_fract_y
_atom_site_fract_z
K1 0.000 0.000 0.000
K2 0.184 0.000 0.569
In1 0.425 0.000 0.284
Ag1 0.259 0.500 0.286
```



# 5
# AcDy2Tl3Te6
Computed powder XRD pattern, a wavelength of 1.5418 Å. Input: the GGA-PBE geometry in Alexandria.
Neutral-atom scattering factors, no anomalous dispersion.

Principal peaks in the range 2θ from 5° to 70°, in order of rising 2θ:
2θ = 26.79°, 3.328 Å, intensity 100, hkl 2 0 -2
2θ = 37.08°, 2.424 Å, intensity 39, hkl 1 3 -3
2θ = 39.37°, 2.288 Å, intensity 24, hkl 3 3 -1
2θ = 39.42°, 2.286 Å, intensity 12, hkl 0 6 0
2θ = 44.33°, 2.043 Å, intensity 7, hkl 0 0 4
2θ = 48.28°, 1.885 Å, intensity 20, hkl 4 0 0
2θ = 55.20°, 1.664 Å, intensity 12, hkl 4 0 -4
2θ = 60.77°, 1.524 Å, intensity 11, hkl 3 3 -5
2θ = 64.00°, 1.455 Å, intensity 16, hkl 5 3 -3
2θ = 69.91°, 1.346 Å, intensity 12, hkl 4 6 -4

Cell and atoms:
```
data_AcDy2Tl3Te6
_chemical_formula_sum 'Ac2 Dy4 Tl6 Te12'
_cell_length_a 7.930
_cell_length_b 13.716
_cell_length_c 8.591
_cell_angle_alpha 90.00
_cell_angle_beta 107.93
_cell_angle_gamma 90.00
_symmetry_space_group_name_H-M 'C 1 2/m 1'
_symmetry_Int_Tables_number 12
loop_
_symmetry_equiv_pos_as_xyz
'x,y,z'
'-x,-y,-z'
'-x,y,-z'
'x,-y,z'
'x+1/2,y+1/2,z'
'-x+1/2,-y+1/2,-z'
'-x+1/2,y+1/2,-z'
'x+1/2,-y+1/2,z'
loop_
_atom_site_label
_atom_site_fract_x
_atom_site_fract_y
_atom_site_fract_z
Ac1 0.000 0.000 0.000
Dy1 0.000 0.333 0.000
Tl1 0.000 0.162 0.500
Tl2 0.000 0.500 0.500
Te1 0.219 0.500 0.215
Te2 0.250 0.176 0.219
```



# 6
# Sr6AcTe8
Computed powder XRD pattern, a wavelength of 1.5418 Å. Input: the GGA-PBE geometry in Alexandria.
Neutral-atom scattering factors, no anomalous dispersion.

Principal peaks in the range 2θ from 5° to 70°, in order of rising 2θ:
2θ = 11.41°, 7.755 Å, intensity 16, hkl 1 1 1
2θ = 21.95°, 4.050 Å, intensity 10, hkl 3 1 1
2θ = 26.54°, 3.358 Å, intensity 100, hkl 4 0 0
2θ = 34.70°, 2.585 Å, intensity 5, hkl 5 1 1
2θ = 37.89°, 2.374 Å, intensity 78, hkl 4 4 0
2θ = 39.70°, 2.270 Å, intensity 5, hkl 5 3 1
2θ = 46.86°, 1.939 Å, intensity 28, hkl 4 4 4
2θ = 54.67°, 1.679 Å, intensity 13, hkl 8 0 0
2θ = 61.77°, 1.502 Å, intensity 37, hkl 8 4 0
2θ = 68.44°, 1.371 Å, intensity 27, hkl 8 4 4

Cell and atoms:
```
data_Sr6AcTe8
_chemical_formula_sum 'Sr24 Ac4 Te32'
_cell_length_a 13.432
_cell_length_b 13.432
_cell_length_c 13.432
_cell_angle_alpha 90.00
_cell_angle_beta 90.00
_cell_angle_gamma 90.00
_symmetry_space_group_name_H-M 'F m -3 m'
_symmetry_Int_Tables_number 225
_symmetry_space_group_name_Hall '-F 4 2 3'
loop_
_atom_site_label
_atom_site_fract_x
_atom_site_fract_y
_atom_site_fract_z
Sr1 0.000 0.250 0.250
Ac1 0.000 0.000 0.000
Te1 0.000 0.000 0.248
Te2 0.250 0.250 0.250
```



# 7
# Be2Cu6Si
Computed powder XRD pattern, a wavelength of 1.5418 Å. Input: the GGA-PBE geometry in Alexandria.
Neutral-atom scattering factors, no anomalous dispersion.

Principal peaks in the range 2θ from 5° to 70°, in order of rising 2θ:
2θ = 17.57°, 5.049 Å, intensity 18, hkl 0 2 0
2θ = 35.56°, 2.524 Å, intensity 15, hkl 0 4 0
2θ = 36.04°, 2.492 Å, intensity 33, hkl 1 1 3
2θ = 44.33°, 2.043 Å, intensity 100, hkl 1 3 3
2θ = 49.73°, 1.833 Å, intensity 19, hkl 2 0 0
2θ = 50.62°, 1.803 Å, intensity 17, hkl 0 0 6
2θ = 53.15°, 1.723 Å, intensity 2, hkl 2 2 0
2θ = 54.53°, 1.683 Å, intensity 12, hkl 0 6 0
2θ = 62.62°, 1.483 Å, intensity 5, hkl 2 4 0
2θ = 63.38°, 1.467 Å, intensity 5, hkl 0 4 6

Cell and atoms:
```
data_Be2Cu6Si
_chemical_formula_sum 'Be8 Cu24 Si4'
_cell_length_a 3.667
_cell_length_b 10.098
_cell_length_c 10.820
_cell_angle_alpha 90.00
_cell_angle_beta 90.00
_cell_angle_gamma 90.00
_symmetry_space_group_name_H-M 'F m m m'
_symmetry_Int_Tables_number 69
_symmetry_space_group_name_Hall '-F 2 2'
loop_
_atom_site_label
_atom_site_fract_x
_atom_site_fract_y
_atom_site_fract_z
Be1 0.000 0.000 0.167
Cu1 0.000 0.155 0.330
Cu2 0.000 0.159 0.000
Si1 0.000 0.000 0.500
```



# 8
# La2PbAuO5
Computed powder XRD pattern, a wavelength of 1.5418 Å. Input: the GGA-PBE geometry in Alexandria.
Neutral-atom scattering factors, no anomalous dispersion.

Principal peaks in the range 2θ from 5° to 70°, in order of rising 2θ:
2θ = 29.05°, 3.073 Å, intensity 35, hkl 0 0 2
2θ = 29.63°, 3.015 Å, intensity 100, hkl 2 0 1
2θ = 32.39°, 2.764 Å, intensity 21, hkl 2 1 1
2θ = 36.73°, 2.447 Å, intensity 26, hkl 2 2 0
2θ = 39.65°, 2.273 Å, intensity 14, hkl 2 2 1
2θ = 41.40°, 2.181 Å, intensity 17, hkl 2 1 2
2θ = 47.50°, 1.914 Å, intensity 24, hkl 2 2 2
2θ = 51.86°, 1.763 Å, intensity 22, hkl 2 0 3
2θ = 55.15°, 1.665 Å, intensity 14, hkl 4 0 1
2θ = 67.80°, 1.382 Å, intensity 14, hkl 4 2 2

Cell and atoms:
```
data_La2PbAuO5
_chemical_formula_sum 'La4 Pb2 Au2 O10'
_cell_length_a 6.920
_cell_length_b 6.920
_cell_length_c 6.147
_cell_angle_alpha 90.00
_cell_angle_beta 90.00
_cell_angle_gamma 90.00
_symmetry_space_group_name_H-M 'P 4/m b m'
_symmetry_Int_Tables_number 127
_symmetry_space_group_name_Hall '-P 4 2ab'
loop_
_atom_site_label
_atom_site_fract_x
_atom_site_fract_y
_atom_site_fract_z
La1 0.174 0.326 0.000
Pb1 0.000 0.000 0.500
Au1 0.000 0.500 0.500
O1 0.000 0.000 0.000
O2 0.149 0.649 0.246
```